Diffraction record for Ac2Ag3. The X-ray diffraction stick pattern is computed, not measured: it uses DFT lattice parameters and positions (GGA-PBE) and CuKα.

The 10 most intense peaks (10° ≤ 2θ ≤ 90°), by angle:
21.79°, I 21, (0 4 1); 29.92°, I 100, (1 3 1); 30.61°, I 60, (1 7 0); 32.37°, I 19, (1 5 1); 35.70°, I 54, (0 10 1); 36.60°, I 35, (0 0 2); 44.43°, I 25, (2 0 0); 48.43°, I 36, (1 7 2); 58.24°, I 21, (2 10 1); 58.88°, I 17, (2 0 2)

Structural model:
a = 4.0777 Å, b = 29.2985 Å, c = 4.9104 Å
α = 90.00°, β = 90.00°, γ = 90.00°
Space group Cmcm (No. 63)
Symmetry-distinct sites (fractional):
1 Ac 0.0000 0.0713 0.2500 (multiplicity 4)
2 Ac 0.0000 0.2051 0.7500 (multiplicity 4)
3 Ag 0.0000 0.3289 0.7500 (multiplicity 4)
4 Ag 0.0000 0.3823 0.2500 (multiplicity 4)
5 Ag 0.0000 0.4772 0.2500 (multiplicity 4)



Diffraction record for AcAg12. The X-ray diffraction stick pattern is computed, not measured: it uses DFT lattice parameters and positions (GGA-PBE) and CuKα.

The 10 most intense peaks (10° ≤ 2θ ≤ 90°), by angle:
26.03°, I 13, (2 1 1); 31.86°, I 11, (0 0 2); 32.04°, I 29, (3 0 1); 37.02°, I 47, (2 0 2); 37.21°, I 100, (4 0 0); 41.63°, I 27, (2 2 2); 41.81°, I 21, (4 2 0); 60.31°, I 15, (3 2 3); 67.01°, I 15, (6 0 2); 67.12°, I 14, (6 3 1)

Structural model:
a = 9.6574 Å, b = 9.6574 Å, c = 5.6180 Å
α = 90.00°, β = 90.00°, γ = 90.00°
Space group I4/mmm (No. 139)
Symmetry-distinct sites (fractional):
1 Ac 0.0000 0.0000 0.0000 (multiplicity 2)
2 Ag 0.0000 0.2206 0.5000 (multiplicity 8)
3 Ag 0.0000 0.3535 0.0000 (multiplicity 8)
4 Ag 0.2500 0.2500 0.2500 (multiplicity 8)



Diffraction record for Ac2Ag3. The X-ray diffraction stick pattern is computed, not measured: it uses DFT lattice parameters and positions (GGA-PBE) and CuKα.

The 10 most intense peaks (10° ≤ 2θ ≤ 90°), by angle:
26.24°, I 86, (1 1 2); 30.90°, I 100, (1 3 1); 34.36°, I 61, (0 2 3); 35.03°, I 19, (0 4 1); 35.98°, I 61, (2 2 1); 36.24°, I 34, (2 0 2); 49.66°, I 20, (1 5 2); 51.04°, I 27, (2 0 4); 53.89°, I 23, (3 3 1); 55.50°, I 27, (2 4 3)

Structural model:
a = 5.9479 Å, b = 10.6915 Å, c = 8.9730 Å
α = 90.00°, β = 90.00°, γ = 90.00°
Space group Cmce (No. 64)
Symmetry-distinct sites (fractional):
1 Ac 0.0000 0.1598 0.0997 (multiplicity 8)
2 Ag 0.0000 0.0000 0.5000 (multiplicity 4)
3 Ag 0.2500 0.0975 0.7500 (multiplicity 8)